1.
# Y3Ag5
Theoretical powder diffraction line list, a wavelength of 1.5418 Å. Input: the GGA-PBE geometry in Alexandria.

Atomic structure:
Cell: 7.313 10.005 5.004 Å, 90.00 90.00 90.00°
Space group Cmmm (No. 65)
Unique sites:
1 Y 0.000 0.000 0.000
2 Y 0.000 0.280 0.500
3 Ag 0.000 0.500 0.000
4 Ag 0.216 0.000 0.500
5 Ag 0.250 0.250 0.000

The 10 most intense peaks (15 to 90 degrees two-theta), most intense first:
2theta	I_rel	hkl
35.30	100.0	2 2 1
35.90	48.8	0 0 2
64.13	29.1	2 2 3
62.96	16.3	4 0 2
51.67	15.5	0 4 2
74.66	8.1	4 4 2
49.88	8.1	4 0 0
87.11	5.8	0 4 4
86.77	5.6	2 6 3
83.99	5.6	6 2 1


2.
# Cr2Os2Ru7
Theoretical powder diffraction line list, a wavelength of 1.5418 Å. Input: the GGA-PBE geometry in Alexandria.

Atomic structure:
Cell: 9.873 8.254 4.331 Å, 90.00 113.46 90.00°
Space group C2/m (No. 12)
Unique sites:
1 Cr 0.000 0.243 0.000
2 Os 0.177 0.000 0.169
3 Ru 0.000 0.000 0.500
4 Ru 0.073 0.500 0.336
5 Ru 0.201 0.207 0.706

The 10 most intense peaks (15 to 90 degrees two-theta), most intense first:
2theta	I_rel	hkl
41.90	100.0	2 2 1
44.26	43.0	3 3 -1
43.87	37.9	0 4 0
38.79	36.1	1 3 -1
43.26	35.7	4 2 -1
31.16	33.4	3 1 -1
31.56	28.7	3 1 0
41.75	28.1	2 0 -2
47.41	21.2	4 0 -2
43.99	19.5	1 1 -2